[1]
Diffraction record for Pr2Dy3Tl6. The powder X-ray diffraction pattern is calculated, not measured: it uses a DFT-relaxed cell (GGA-PBE, Alexandria) and Cu Kα (λ = 1.5418 Å).

Atomic structure:
```
Pr2Dy3Tl6
1.0
-2.998 2.998 11.391
2.998 -2.998 11.391
2.998 2.998 -11.391
Pr Dy Tl
2 3 6
direct
0.083 0.083 0.000
0.917 0.917 0.000
0.362 0.362 0.000
0.500 0.500 0.000
0.638 0.638 0.000
0.069 0.569 0.500
0.225 0.225 0.000
0.431 0.931 0.500
0.569 0.069 0.500
0.775 0.775 0.000
0.931 0.431 0.500
```

Main lines, sorted by position (2θ = 10–90°):
| 2θ (°) | intensity |
| --- | --- |
| 22.37 | 43 |
| 29.80 | 100 |
| 31.27 | 53 |
| 38.06 | 36 |
| 42.64 | 38 |
| 43.74 | 43 |

***

[2]
Diffraction record for Nd3Dy2Tm. The powder X-ray diffraction pattern is calculated, not measured: it uses a DFT-relaxed cell (GGA-PBE, Alexandria) and Cu Kα (λ = 1.5418 Å).

Atomic structure:
```
Nd3Dy2Tm
1.0
8.970 -3.625 0.000
8.970 3.625 0.000
-1.472 0.000 6.118
Nd Dy Tm
6 4 2
direct
0.041 0.293 0.025
0.128 0.872 0.750
0.293 0.041 0.525
0.707 0.959 0.475
0.872 0.128 0.250
0.959 0.707 0.975
0.211 0.458 0.471
0.458 0.211 0.971
0.542 0.789 0.029
0.789 0.542 0.529
0.378 0.622 0.250
0.622 0.378 0.750
```

Main lines, sorted by position (2θ = 10–90°):
| 2θ (°) | intensity |
| --- | --- |
| 28.61 | 37 |
| 30.76 | 50 |
| 31.58 | 100 |
| 33.25 | 86 |
| 50.28 | 38 |
| 60.11 | 44 |

***

[3]
Diffraction record for Pu2Th3Se8. The powder X-ray diffraction pattern is calculated, not measured: it uses a DFT-relaxed cell (GGA-PBE, Alexandria) and Cu Kα (λ = 1.5418 Å).

Atomic structure:
```
Pu2Th3Se8
1.0
7.387 -4.285 0.000
7.387 4.285 0.000
-2.468 0.000 6.755
Pu Th Se
2 3 8
direct
0.240 0.240 0.157
0.760 0.760 0.843
0.240 0.760 0.500
0.500 0.500 0.000
0.760 0.240 0.500
0.115 0.115 0.413
0.143 0.612 0.084
0.383 0.383 0.578
0.388 0.857 0.916
0.612 0.143 0.084
0.617 0.617 0.422
0.857 0.388 0.916
0.885 0.885 0.587
```

Main lines, sorted by position (2θ = 10–90°):
| 2θ (°) | intensity |
| --- | --- |
| 19.46 | 75 |
| 21.83 | 65 |
| 25.60 | 60 |
| 32.30 | 100 |
| 39.14 | 69 |
| 43.25 | 72 |

***

[4]
Diffraction record for Zn2Ga3Ag6. The powder X-ray diffraction pattern is calculated, not measured: it uses a DFT-relaxed cell (GGA-PBE, Alexandria) and Cu Kα (λ = 1.5418 Å).

Atomic structure:
```
Zn2Ga3Ag6
1.0
1.480 0.855 25.027
-1.480 0.855 25.027
0.000 -1.709 25.027
Zn Ga Ag
2 3 6
direct
0.045 0.045 0.045
0.955 0.955 0.955
0.228 0.228 0.228
0.500 0.500 0.500
0.772 0.772 0.772
0.136 0.136 0.136
0.317 0.317 0.317
0.408 0.408 0.408
0.592 0.592 0.592
0.683 0.683 0.683
0.864 0.864 0.864
```

Main lines, sorted by position (2θ = 10–90°):
| 2θ (°) | intensity |
| --- | --- |
| 37.47 | 100 |
| 39.61 | 28 |
| 44.18 | 61 |
| 62.77 | 21 |
| 65.74 | 17 |
| 76.83 | 22 |

***

[5]
Diffraction record for Sr2SbP2N6. The powder X-ray diffraction pattern is calculated, not measured: it uses a DFT-relaxed cell (GGA-PBE, Alexandria) and Cu Kα (λ = 1.5418 Å).

Atomic structure:
```
Sr2SbP2N6
1.0
2.798 1.616 5.707
-2.798 1.616 5.707
0.000 -3.231 5.707
Sr Sb P N
2 1 2 6
direct
0.213 0.213 0.213
0.787 0.787 0.787
0.000 0.000 0.000
0.417 0.417 0.417
0.583 0.583 0.583
0.251 0.251 0.744
0.251 0.744 0.251
0.256 0.749 0.749
0.744 0.251 0.251
0.749 0.256 0.749
0.749 0.749 0.256
```

Main lines, sorted by position (2θ = 10–90°):
| 2θ (°) | intensity |
| --- | --- |
| 19.03 | 17 |
| 27.81 | 18 |
| 31.99 | 100 |
| 42.88 | 15 |
| 45.87 | 18 |
| 57.02 | 35 |

***

[6]
Diffraction record for Ac3Ag2O8. The powder X-ray diffraction pattern is calculated, not measured: it uses a DFT-relaxed cell (GGA-PBE, Alexandria) and Cu Kα (λ = 1.5418 Å).

Atomic structure:
```
Ac3Ag2O8
1.0
3.089 1.783 6.547
-3.089 1.783 6.547
0.000 -3.566 6.547
Ac Ag O
3 2 8
direct
0.000 0.000 0.000
0.209 0.209 0.209
0.791 0.791 0.791
0.429 0.429 0.429
0.571 0.571 0.571
0.174 0.754 0.754
0.246 0.246 0.826
0.246 0.826 0.246
0.323 0.323 0.323
0.677 0.677 0.677
0.754 0.174 0.754
0.754 0.754 0.174
0.826 0.246 0.246
```

Main lines, sorted by position (2θ = 10–90°):
| 2θ (°) | intensity |
| --- | --- |
| 24.61 | 21 |
| 28.18 | 68 |
| 28.91 | 100 |
| 40.82 | 33 |
| 50.79 | 32 |
| 51.25 | 44 |

***

[7]
Diffraction record for NdSmEr2Te6. The powder X-ray diffraction pattern is calculated, not measured: it uses a DFT-relaxed cell (GGA-PBE, Alexandria) and Cu Kα (λ = 1.5418 Å).

Atomic structure:
```
NdSmEr2Te6
1.0
3.891 2.247 7.040
-3.891 2.247 7.040
0.000 -4.493 7.040
Nd Sm Er Te
1 1 2 6
direct
0.000 0.000 0.000
0.498 0.498 0.498
0.310 0.310 0.310
0.811 0.811 0.811
0.081 0.700 0.422
0.205 0.581 0.916
0.422 0.081 0.700
0.581 0.916 0.205
0.700 0.422 0.081
0.916 0.205 0.581
```

Main lines, sorted by position (2θ = 10–90°):
| 2θ (°) | intensity |
| --- | --- |
| 15.60 | 37 |
| 21.38 | 28 |
| 26.17 | 92 |
| 34.36 | 100 |
| 40.14 | 64 |
| 53.84 | 26 |